Calculated X-ray powder pattern of RbBeAgBr4 for copper Kα, from the PBE geometry in Alexandria.
Lines closer than 0.1° are merged.

Top 10 peaks for 5° ≤ 2θ ≤ 70°, in order of falling intensity:
Position (°2θ)	I_rel
31.19	100.0
27.91	75.9
27.65	47.8
31.76	46.9
10.00	42.0
37.36	37.5
38.78	35.4
29.76	34.8
23.63	30.1
30.93	29.6

Cell and atoms:
```
14
Lattice="6.5472 0.0000 0.0000 0.0000 7.5308 0.0000 -2.7127 0.0000 8.8493" Properties=species:S:1:pos:R:3 pbc="T T T"
Rb 0.3709 1.8827 3.7147
Rb 3.4636 5.6481 5.1347
Be 1.4733 5.6481 1.7265
Be 2.3612 1.8827 7.1228
Ag -0.5386 1.8827 8.6687
Ag 4.3731 5.6481 0.1806
Br -2.2350 5.6481 8.6423
Br 0.1179 5.6481 3.4374
Br 0.9794 0.1307 6.9582
Br 0.9794 3.6347 6.9582
Br 2.8551 3.8961 1.8912
Br 2.8551 7.4002 1.8912
Br 3.7166 1.8827 5.4119
Br 6.0695 1.8827 0.2070
```

---

Calculated X-ray powder pattern of BeAg2C for copper Kα, from the PBE geometry in Alexandria.
Lines closer than 0.1° are merged.

Top 4 peaks for 5° ≤ 2θ ≤ 70°, in order of falling intensity:
Position (°2θ)	I_rel
30.43	100.0
43.57	97.7
54.06	25.5
63.31	15.0

Cell and atoms:
```
4
Lattice="0.0000 2.9380 2.9380 2.9380 0.0000 2.9380 2.9380 2.9380 0.0000" Properties=species:S:1:pos:R:3 pbc="T T T"
Be 0.0000 0.0000 0.0000
Ag 1.4690 1.4690 1.4690
Ag 4.4069 4.4069 4.4069
C 2.9380 2.9380 2.9380
```

---

Calculated X-ray powder pattern of CeBeAgH6 for copper Kα, from the PBE geometry in Alexandria.
Lines closer than 0.1° are merged.

Top 10 peaks for 5° ≤ 2θ ≤ 70°, in order of falling intensity:
Position (°2θ)	I_rel
30.82	100.0
40.78	31.6
23.21	29.4
51.98	22.8
58.94	21.4
68.09	19.6
40.64	10.3
67.90	10.0
47.33	9.7
47.45	5.0

Cell and atoms:
```
9
Lattice="4.4250 0.0000 0.0000 -2.2125 3.8321 0.0000 0.0000 0.0000 4.4396" Properties=species:S:1:pos:R:3 pbc="T T T"
Ce 0.0000 0.0000 0.0000
Be 2.2125 1.2774 2.2198
Ag 0.0000 2.5548 2.2198
H 2.2125 0.1554 0.9331
H 2.2125 0.1554 3.5065
H 1.2408 1.8384 0.9331
H 1.2408 1.8384 3.5065
H 3.1842 1.8384 0.9331
H 3.1842 1.8384 3.5065
```

---

Calculated X-ray powder pattern of BeAgCl2 for copper Kα, from the PBE geometry in Alexandria.
Lines closer than 0.1° are merged.

Top 10 peaks for 5° ≤ 2θ ≤ 70°, in order of falling intensity:
Position (°2θ)	I_rel
16.68	100.0
25.13	57.2
8.32	57.1
42.52	54.5
36.46	53.8
32.82	50.4
34.21	43.7
34.58	33.0
35.96	26.6
53.68	17.5

Cell and atoms:
```
4
Lattice="2.7303 -1.5768 0.0000 2.7303 1.5768 0.0000 -0.7627 0.0000 10.6327" Properties=species:S:1:pos:R:3 pbc="T T T"
Be 0.0000 0.0000 0.0000
Ag 2.3490 0.0000 5.3163
Cl 1.0572 0.0000 9.3541
Cl 3.6408 0.0000 1.2786
```

---

Calculated X-ray powder pattern of Cs2BeAg for copper Kα, from the PBE geometry in Alexandria.
Lines closer than 0.1° are merged.

Top 10 peaks for 5° ≤ 2θ ≤ 70°, in order of falling intensity:
Position (°2θ)	I_rel
28.18	100.0
49.89	39.7
40.28	18.7
65.97	17.0
17.15	16.9
19.83	16.0
58.28	12.4
33.18	10.3
45.28	7.4
34.70	5.2

Cell and atoms:
```
4
Lattice="0.0000 4.4778 4.4778 4.4778 0.0000 4.4778 4.4778 4.4778 0.0000" Properties=species:S:1:pos:R:3 pbc="T T T"
Cs 2.2389 2.2389 2.2389
Cs 6.7166 6.7166 6.7166
Be 0.0000 0.0000 0.0000
Ag 4.4778 4.4778 4.4778
```

---

Calculated X-ray powder pattern of CsBeAgS2 for copper Kα, from the PBE geometry in Alexandria.
Lines closer than 0.1° are merged.

Top 10 peaks for 5° ≤ 2θ ≤ 70°, in order of falling intensity:
Position (°2θ)	I_rel
26.22	100.0
24.46	40.1
30.13	39.4
22.61	33.0
42.78	29.4
25.51	28.7
36.35	26.9
29.67	26.2
20.85	25.1
16.87	24.4

Cell and atoms:
```
10
Lattice="7.5780 0.0000 0.0000 0.0000 5.2547 0.0000 -2.0247 0.0000 6.9838" Properties=species:S:1:pos:R:3 pbc="T T T"
Cs -0.5062 1.2800 1.7459
Cs -1.5185 3.9748 5.2378
Be 3.7890 2.6274 0.0000
Be 2.7767 2.6274 3.4919
Ag 2.2705 0.3209 5.2378
Ag 3.2828 4.9338 1.7459
S 0.3988 1.3417 6.6813
S 1.4111 3.9131 3.1894
S 4.1422 1.3417 3.7943
S 5.1545 3.9131 0.3024
```

---

Calculated X-ray powder pattern of Tb2Be3Cu12Ag for copper Kα, from the PBE geometry in Alexandria.
Lines closer than 0.1° are merged.

Top 10 peaks for 5° ≤ 2θ ≤ 70°, in order of falling intensity:
Position (°2θ)	I_rel
34.04	100.0
49.25	58.7
37.12	45.4
38.42	41.3
48.55	33.9
28.13	31.4
27.84	29.6
14.63	13.7
51.41	13.3
57.52	12.5

Cell and atoms:
```
18
Lattice="3.7000 2.1362 6.1664 -3.7000 2.1362 6.1664 0.0000 -4.2724 6.1664" Properties=species:S:1:pos:R:3 pbc="T T T"
Tb 0.0000 0.0000 1.8756
Tb 0.0000 0.0000 16.6237
Be -1.8500 -1.0681 6.1664
Be -1.8500 1.0681 12.3329
Be 0.0000 2.1362 6.1664
Cu -2.0860 -1.2043 8.3364
Cu 0.0000 -1.9144 5.7344
Cu -1.6579 0.9572 5.7344
Cu 0.0000 -2.4087 10.1630
Cu -2.0860 1.2043 10.1630
Cu -1.6579 -0.9572 12.7649
Cu 1.6579 0.9572 5.7344
Cu 2.0860 -1.2043 8.3364
Cu 0.0000 2.4087 8.3364
Cu 1.6579 -0.9572 12.7649
Cu 0.0000 1.9144 12.7649
Cu 2.0860 1.2043 10.1630
Ag 0.0000 0.0000 9.2497
```

---

Calculated X-ray powder pattern of BeAg3F5 for copper Kα, from the PBE geometry in Alexandria.
Lines closer than 0.1° are merged.

Top 10 peaks for 5° ≤ 2θ ≤ 70°, in order of falling intensity:
Position (°2θ)	I_rel
31.71	100.0
39.06	85.0
43.98	38.5
24.91	35.6
31.55	33.2
51.07	23.6
55.13	23.2
59.06	16.5
63.92	16.0
62.73	13.7

Cell and atoms:
```
18
Lattice="-3.2550 3.2550 5.6718 3.2550 -3.2550 5.6718 3.2550 3.2550 -5.6718" Properties=species:S:1:pos:R:3 pbc="T T T"
Be 3.2550 0.0000 2.8359
Be 0.0000 3.2550 2.8359
Ag 4.3360 1.0810 0.0000
Ag 0.0000 0.0000 2.8359
Ag 1.0810 2.1740 0.0000
Ag 2.1740 1.0810 5.6718
Ag 0.0000 0.0000 8.5077
Ag -1.0810 2.1740 5.6718
F 0.0000 0.0000 0.0000
F 4.1411 -0.8861 1.8943
F 2.3689 -0.8861 3.7775
F 2.3689 0.8861 1.8943
F 4.1411 0.8861 3.7775
F 0.0000 0.0000 5.6718
F -0.8861 2.3689 1.8943
F 0.8861 2.3689 3.7775
F 0.8861 4.1411 1.8943
F -0.8861 4.1411 3.7775
```

---

Calculated X-ray powder pattern of Be2Ag3F8 for copper Kα, from the PBE geometry in Alexandria.
Lines closer than 0.1° are merged.

Top 10 peaks for 5° ≤ 2θ ≤ 70°, in order of falling intensity:
Position (°2θ)	I_rel
33.06	100.0
30.54	96.0
19.50	65.1
44.27	49.2
45.62	39.2
43.14	35.0
52.62	30.6
57.48	26.8
39.59	19.5
69.36	19.4

Cell and atoms:
```
13
Lattice="2.7097 1.5644 6.2423 -2.7097 1.5644 6.2423 0.0000 -3.1289 6.2423" Properties=species:S:1:pos:R:3 pbc="T T T"
Be 0.0000 0.0000 1.9007
Be 0.0000 0.0000 16.8263
Ag 0.0000 0.0000 5.6827
Ag 0.0000 0.0000 9.3635
Ag 0.0000 0.0000 13.0443
F 0.0000 0.0000 3.4331
F 0.0000 -1.6402 7.6155
F -1.4205 0.8201 7.6155
F -1.4205 -0.8201 11.1114
F 1.4205 0.8201 7.6155
F 1.4205 -0.8201 11.1114
F 0.0000 1.6402 11.1114
F 0.0000 0.0000 15.2938
```

---

Calculated X-ray powder pattern of BeAg3F6 for copper Kα, from the PBE geometry in Alexandria.
Lines closer than 0.1° are merged.

Top 10 peaks for 5° ≤ 2θ ≤ 70°, in order of falling intensity:
Position (°2θ)	I_rel
31.73	100.0
32.39	59.0
44.71	38.1
30.72	27.3
36.36	16.6
54.87	14.8
47.25	14.7
58.00	14.4
56.09	14.4
19.37	14.3

Cell and atoms:
```
10
Lattice="4.7613 -2.8250 0.0000 4.7613 2.8250 0.0000 -3.4299 0.0000 4.7051" Properties=species:S:1:pos:R:3 pbc="T T T"
Be 0.0000 0.0000 0.0000
Ag -0.3038 0.0000 3.5746
Ag 3.0463 0.0000 2.3526
Ag 6.3964 0.0000 1.1305
F 3.7220 1.6031 0.6495
F 1.0069 0.0000 1.6540
F 2.3706 1.6031 4.0556
F 3.7220 -1.6031 0.6495
F 5.0857 0.0000 3.0512
F 2.3706 -1.6031 4.0556
```

---

Calculated X-ray powder pattern of KBe2Ag2F7 for copper Kα, from the PBE geometry in Alexandria.
Lines closer than 0.1° are merged.

Top 10 peaks for 5° ≤ 2θ ≤ 70°, in order of falling intensity:
Position (°2θ)	I_rel
11.50	100.0
27.42	87.2
41.42	54.5
33.88	49.2
35.89	43.5
43.92	20.7
36.81	19.1
60.61	16.4
56.76	15.9
20.85	15.4

Cell and atoms:
```
12
Lattice="2.6461 1.5277 7.6930 -2.6461 1.5277 7.6930 0.0000 -3.0554 7.6930" Properties=species:S:1:pos:R:3 pbc="T T T"
K 0.0000 0.0000 0.0000
Be 0.0000 0.0000 9.9330
Be 0.0000 0.0000 13.1459
Ag 0.0000 0.0000 4.3793
Ag 0.0000 0.0000 18.6996
F -0.7551 -1.2942 9.5572
F -0.7433 -1.3011 13.5217
F -0.7433 1.3011 9.5572
F 0.0000 0.0000 11.5395
F -0.7551 1.2942 13.5217
F 1.4984 -0.0068 9.5572
F 1.4984 0.0068 13.5217
```

---

Calculated X-ray powder pattern of LiBeAg2F6 for copper Kα, from the PBE geometry in Alexandria.
Lines closer than 0.1° are merged.

Top 10 peaks for 5° ≤ 2θ ≤ 70°, in order of falling intensity:
Position (°2θ)	I_rel
41.22	100.0
23.00	91.3
33.73	67.8
32.76	55.1
59.10	39.0
47.01	34.1
24.33	33.1
53.62	24.5
49.85	18.0
55.58	17.5

Cell and atoms:
```
20
Lattice="5.4675 0.0000 0.0000 0.0000 5.4675 0.0000 0.0000 0.0000 7.3174" Properties=species:S:1:pos:R:3 pbc="T T T"
Li 0.0000 0.0000 0.0000
Li 2.7337 2.7337 3.6587
Be 0.0000 0.0000 3.6587
Be 2.7337 2.7337 0.0000
Ag 0.0000 2.7337 1.8294
Ag 0.0000 2.7337 5.4881
Ag 2.7337 0.0000 1.8294
Ag 2.7337 0.0000 5.4881
F 0.0000 0.0000 2.0178
F 0.0000 0.0000 5.2996
F 0.9038 1.6699 3.6587
F 1.0639 1.8299 0.0000
F 1.6699 4.5637 3.6587
F 1.8299 4.4036 0.0000
F 2.7337 2.7337 1.6409
F 2.7337 2.7337 5.6765
F 3.6376 1.0639 0.0000
F 3.7976 0.9038 3.6587
F 4.4036 3.6376 0.0000
F 4.5637 3.7976 3.6587
```

---

Calculated X-ray powder pattern of BeTlAg2F4 for copper Kα, from the PBE geometry in Alexandria.
Lines closer than 0.1° are merged.

Top 10 peaks for 5° ≤ 2θ ≤ 70°, in order of falling intensity:
Position (°2θ)	I_rel
20.10	100.0
26.58	90.6
35.38	69.8
36.58	58.1
17.57	55.9
41.03	54.8
34.82	46.9
40.86	45.3
32.24	41.1
54.59	36.1

Cell and atoms:
```
8
Lattice="0.0000 4.4865 5.0478 2.9351 0.0000 5.0478 2.9351 4.4865 0.0000" Properties=species:S:1:pos:R:3 pbc="T T T"
Be 0.0000 0.0000 0.0000
Tl 2.9351 4.4865 6.4042
Ag 1.4676 2.2432 2.8426
Ag 4.4027 6.7297 7.8904
F 4.5598 4.4865 4.1577
F 2.9351 1.2885 5.9108
F 1.3105 4.4865 4.1577
F 2.9351 7.6845 5.9108
```

---

Calculated X-ray powder pattern of BeFeAg3 for copper Kα, from the PBE geometry in Alexandria.
Lines closer than 0.1° are merged.

Top 9 peaks for 5° ≤ 2θ ≤ 70°, in order of falling intensity:
Position (°2θ)	I_rel
35.55	100.0
41.28	51.8
59.80	32.5
20.30	7.3
28.87	3.7
46.42	3.2
51.15	1.6
63.84	1.5
67.74	0.7

Cell and atoms:
```
5
Lattice="4.3742 0.0000 0.0000 0.0000 4.3742 0.0000 0.0000 0.0000 4.3742" Properties=species:S:1:pos:R:3 pbc="T T T"
Be 0.0000 0.0000 0.0000
Fe 2.1871 2.1871 2.1871
Ag 0.0000 0.0000 2.1871
Ag 0.0000 2.1871 0.0000
Ag 2.1871 0.0000 0.0000
```